Record 1
Starting from a structure optimized by DFT (PBE), the PXRD pattern of HoAgTe3Pb was calculated for Cu Kα, 1.54184 Å.

Peak list (6 most intense, 10° ≤ 2θ ≤ 80°, low angle first)
- 27.98°, I = 42, hkl 6 0 0
- 28.54°, I = 100, hkl 1 1 -2
- 34.36°, I = 23, hkl 5 1 1
- 40.01°, I = 22, hkl 2 0 -4
- 40.12°, I = 20, hkl 5 1 2
- 41.59°, I = 27, hkl 0 2 0

Crystal structure
```
data_HoAgTe3Pb
_cell_length_a 19.5571
_cell_length_b 4.3434
_cell_length_c 9.0152
_cell_angle_alpha 90.00
_cell_angle_beta 102.17
_cell_angle_gamma 90.00
_space_group_name_H-M_alt 'C 1 2/m 1'
_space_group_IT_number 12
loop_
_space_group_symop_operation_xyz
'x,y,z'
'-x,-y,-z'
'-x,y,-z'
'x,-y,z'
'x+1/2,y+1/2,z'
'-x+1/2,-y+1/2,-z'
'-x+1/2,y+1/2,-z'
'x+1/2,-y+1/2,z'
loop_
_atom_site_label
_atom_site_fract_x
_atom_site_fract_y
_atom_site_fract_z
Ho1 0.1628 0.0000 0.0891
Ag1 0.0409 0.5000 0.2128
Te1 0.0000 0.0000 0.0000
Te2 0.0000 0.5000 0.5000
Te3 0.1748 0.5000 0.8548
Te4 0.1861 0.5000 0.3366
Pb1 0.1287 0.0000 0.5732
```



Record 2
Starting from a structure optimized by DFT (PBE), the PXRD pattern of Ho2TmTl3AgPd2 was calculated for Cu Kα, 1.54184 Å.

Peak list (6 most intense, 10° ≤ 2θ ≤ 80°, low angle first)
- 32.99°, I = 100, hkl 1 3 1
- 34.65°, I = 44, hkl 0 1 3
- 35.56°, I = 62, hkl 1 4 0
- 39.46°, I = 43, hkl 0 6 0
- 64.31°, I = 31, hkl 1 1 5
- 64.46°, I = 20, hkl 2 6 0

Crystal structure
```
data_Ho2TmTl3AgPd2
_cell_length_a 3.7351
_cell_length_b 13.6957
_cell_length_c 7.9127
_cell_angle_alpha 90.00
_cell_angle_beta 90.00
_cell_angle_gamma 90.00
_space_group_name_H-M_alt 'A m m 2'
_space_group_IT_number 38
loop_
_space_group_symop_operation_xyz
'x,y,z'
'-x,-y,z'
'-x,y,z'
'x,-y,z'
'x,y+1/2,z+1/2'
'-x,-y+1/2,z+1/2'
'-x,y+1/2,z+1/2'
'x,-y+1/2,z+1/2'
loop_
_atom_site_label
_atom_site_fract_x
_atom_site_fract_y
_atom_site_fract_z
Ho1 0.0000 0.2026 0.0000
Tm1 0.0000 0.0000 0.6085
Tl1 0.5000 0.0000 0.9277
Tl2 0.5000 0.1375 0.3401
Ag1 0.0000 0.0000 0.2033
Pd1 0.5000 0.1657 0.7021
```



Record 3
Starting from a structure optimized by DFT (PBE), the PXRD pattern of PmHo4Ag5 was calculated for Cu Kα, 1.54184 Å.

Peak list (6 most intense, 10° ≤ 2θ ≤ 80°, low angle first)
- 34.92°, I = 100, hkl 1 0 5
- 35.10°, I = 50, hkl 1 1 0
- 50.49°, I = 18, hkl 2 0 0
- 62.50°, I = 17, hkl 1 1 10
- 62.86°, I = 35, hkl 2 1 5
- 73.75°, I = 10, hkl 2 0 10

Crystal structure
```
data_PmHo4Ag5
_cell_length_a 3.6152
_cell_length_b 3.6152
_cell_length_c 18.2616
_cell_angle_alpha 90.00
_cell_angle_beta 90.00
_cell_angle_gamma 90.00
_space_group_name_H-M_alt 'P 4/m m m'
_space_group_IT_number 123
_space_group_name_Hall '-P 4 2'
loop_
_atom_site_label
_atom_site_fract_x
_atom_site_fract_y
_atom_site_fract_z
Pm1 0.0000 0.0000 0.0000
Ho1 0.0000 0.0000 0.2042
Ho2 0.0000 0.0000 0.4013
Ag1 0.5000 0.5000 0.1085
Ag2 0.5000 0.5000 0.3025
Ag3 0.5000 0.5000 0.5000
```



Record 4
Starting from a structure optimized by DFT (PBE), the PXRD pattern of PrHoAg2Sb4 was calculated for Cu Kα, 1.54184 Å.

Peak list (6 most intense, 10° ≤ 2θ ≤ 80°, low angle first)
- 26.50°, I = 12, hkl 1 0 2
- 33.60°, I = 100, hkl 1 1 2
- 34.14°, I = 14, hkl 0 0 4
- 41.23°, I = 34, hkl 2 0 0
- 54.57°, I = 15, hkl 2 0 4
- 70.30°, I = 23, hkl 3 1 2

Crystal structure
```
data_PrHoAg2Sb4
_cell_length_a 4.3794
_cell_length_b 4.3794
_cell_length_c 10.5051
_cell_angle_alpha 90.00
_cell_angle_beta 90.00
_cell_angle_gamma 90.00
_space_group_name_H-M_alt 'P 4 m m'
_space_group_IT_number 99
loop_
_space_group_symop_operation_xyz
'x,y,z'
'-y,x,z'
'-x,-y,z'
'y,-x,z'
'-x,y,z'
'y,x,z'
'x,-y,z'
'-y,-x,z'
loop_
_atom_site_label
_atom_site_fract_x
_atom_site_fract_y
_atom_site_fract_z
Pr1 0.0000 0.0000 0.0000
Ho1 0.5000 0.5000 0.4753
Ag1 0.0000 0.5000 0.7305
Sb1 0.0000 0.0000 0.5498
Sb2 0.0000 0.5000 0.2435
Sb3 0.5000 0.5000 0.9121
```



Record 5
Starting from a structure optimized by DFT (PBE), the PXRD pattern of Y2HoTl3AgPt2 was calculated for Cu Kα, 1.54184 Å.

Peak list (6 most intense, 10° ≤ 2θ ≤ 80°, low angle first)
- 32.80°, I = 100, hkl 1 3 1
- 34.54°, I = 55, hkl 0 1 3
- 35.38°, I = 84, hkl 1 4 0
- 39.35°, I = 62, hkl 0 6 0
- 42.28°, I = 43, hkl 1 4 2
- 64.09°, I = 37, hkl 2 6 0

Crystal structure
```
data_Y2HoTl3AgPt2
_cell_length_a 3.7640
_cell_length_b 13.7184
_cell_length_c 7.9457
_cell_angle_alpha 90.00
_cell_angle_beta 90.00
_cell_angle_gamma 90.00
_space_group_name_H-M_alt 'A m m 2'
_space_group_IT_number 38
loop_
_space_group_symop_operation_xyz
'x,y,z'
'-x,-y,z'
'-x,y,z'
'x,-y,z'
'x,y+1/2,z+1/2'
'-x,-y+1/2,z+1/2'
'-x,y+1/2,z+1/2'
'x,-y+1/2,z+1/2'
loop_
_atom_site_label
_atom_site_fract_x
_atom_site_fract_y
_atom_site_fract_z
Y1 0.0000 0.2047 0.0000
Ho1 0.0000 0.0000 0.3849
Tl1 0.5000 0.0000 0.0658
Tl2 0.5000 0.1353 0.6598
Ag1 0.0000 0.0000 0.7948
Pt1 0.5000 0.1655 0.2960
```



Record 6
Starting from a structure optimized by DFT (PBE), the PXRD pattern of HoTmAg2Sb4 was calculated for Cu Kα, 1.54184 Å.

Peak list (6 most intense, 10° ≤ 2θ ≤ 80°, low angle first)
- 26.86°, I = 11, hkl 1 0 2
- 34.07°, I = 100, hkl 1 1 2
- 34.56°, I = 16, hkl 0 0 4
- 41.84°, I = 33, hkl 2 0 0
- 55.35°, I = 16, hkl 2 0 4
- 71.44°, I = 23, hkl 3 1 2

Crystal structure
```
data_HoTmAg2Sb4
_cell_length_a 4.3180
_cell_length_b 4.3180
_cell_length_c 10.3826
_cell_angle_alpha 90.00
_cell_angle_beta 90.00
_cell_angle_gamma 90.00
_space_group_name_H-M_alt 'P 4 m m'
_space_group_IT_number 99
loop_
_space_group_symop_operation_xyz
'x,y,z'
'-y,x,z'
'-x,-y,z'
'y,-x,z'
'-x,y,z'
'y,x,z'
'x,-y,z'
'-y,-x,z'
loop_
_atom_site_label
_atom_site_fract_x
_atom_site_fract_y
_atom_site_fract_z
Ho1 0.0000 0.0000 0.0000
Tm1 0.5000 0.5000 0.5293
Ag1 0.0000 0.5000 0.2649
Sb1 0.0000 0.0000 0.4522
Sb2 0.0000 0.5000 0.7636
Sb3 0.5000 0.5000 0.0778
```